Starting from a crystal structure in the Materials Project, relaxed with PBE, the X-ray diffraction stick pattern of CeErIn2 was simulated for Cu Ka.
Neutral-atom scattering factors, no anomalous dispersion.

Cell and atoms:
```
CeErIn2
1.0
7.605 0.000 0.000
0.000 7.605 0.000
0.000 0.000 7.605
Ce Er In
4 4 8
Direct
0.000 0.000 0.000
0.000 0.500 0.500
0.500 0.000 0.500
0.500 0.500 0.000
0.000 0.000 0.500
0.000 0.500 0.000
0.500 0.000 0.000
0.500 0.500 0.500
0.250 0.250 0.250
0.250 0.250 0.750
0.250 0.750 0.250
0.250 0.750 0.750
0.750 0.250 0.250
0.750 0.250 0.750
0.750 0.750 0.250
0.750 0.750 0.750
```

Most intense lines, 10 to 90 degrees two-theta, by angle:
2θ 23.40, intensity 2, (2 0 0); 2θ 33.32, intensity 100, (2 2 0); 2θ 41.12, intensity 1, (2 2 2); 2θ 47.84, intensity 18, (4 0 0); 2θ 53.92, intensity 1, (4 2 0); 2θ 59.55, intensity 37, (4 2 2); 2θ 69.98, intensity 11, (4 4 0); 2θ 74.92, intensity 1, (6 0 0); 2θ 79.75, intensity 16, (6 2 0); 2θ 89.23, intensity 4, (4 4 4)



Starting from a crystal structure in the Materials Project, relaxed with PBE, the X-ray diffraction stick pattern of V9Ga2Sn was simulated for Cu Ka.
Neutral-atom scattering factors, no anomalous dispersion.

Cell and atoms:
```
V9Ga2Sn
1.0
4.855 0.000 0.000
0.000 4.876 0.000
0.000 0.000 14.427
V Ga Sn
18 4 2
Direct
0.000 0.000 0.080
0.000 0.000 0.258
0.000 0.000 0.419
0.000 0.000 0.581
0.000 0.000 0.742
0.000 0.000 0.920
0.239 0.500 0.167
0.239 0.500 0.833
0.262 0.500 0.500
0.500 0.259 0.340
0.500 0.259 0.660
0.500 0.261 0.000
0.500 0.739 0.000
0.500 0.741 0.340
0.500 0.741 0.660
0.738 0.500 0.500
0.761 0.500 0.167
0.761 0.500 0.833
0.000 0.500 0.000
0.000 0.500 0.334
0.000 0.500 0.666
0.500 0.000 0.500
0.500 0.000 0.170
0.500 0.000 0.830
```

Most intense lines, 10 to 90 degrees two-theta, by angle:
2θ 26.05, intensity 36, (1 0 3); 2θ 36.87, intensity 46, (0 2 0); 2θ 37.03, intensity 46, (2 0 0); 2θ 37.40, intensity 44, (0 0 6); 2θ 41.50, intensity 66, (0 2 3); 2θ 41.55, intensity 42, (2 1 0); 2θ 41.91, intensity 65, (1 0 6); 2θ 45.71, intensity 100, (1 2 3); 2θ 45.82, intensity 97, (2 1 3); 2θ 46.05, intensity 92, (1 1 6); 2θ 72.87, intensity 51, (1 3 6); 2θ 73.36, intensity 45, (2 1 9)



Starting from a crystal structure in the Materials Project, relaxed with PBE, the X-ray diffraction stick pattern of Ce2InGe2 was simulated for Cu Ka.
Neutral-atom scattering factors, no anomalous dispersion.

Cell and atoms:
```
Ce2InGe2
1.0
7.495 0.000 0.000
0.000 7.495 0.000
0.000 0.000 4.365
Ce In Ge
4 2 4
Direct
0.180 0.320 0.000
0.320 0.820 0.000
0.680 0.180 0.000
0.820 0.680 0.000
0.000 0.000 0.500
0.500 0.500 0.500
0.120 0.620 0.500
0.380 0.120 0.500
0.620 0.880 0.500
0.880 0.380 0.500
```

Most intense lines, 10 to 90 degrees two-theta, by angle:
2θ 31.46, intensity 62, (2 0 1); 2θ 33.71, intensity 100, (2 1 1); 2θ 33.83, intensity 15, (2 2 0); 2θ 37.96, intensity 37, (3 1 0); 2θ 41.37, intensity 24, (0 0 2); 2θ 43.51, intensity 11, (3 2 0); 2θ 50.18, intensity 12, (4 1 0); 2θ 54.71, intensity 18, (4 1 1); 2θ 56.17, intensity 13, (3 3 1); 2θ 57.39, intensity 22, (3 1 2); 2θ 67.20, intensity 14, (5 1 1); 2θ 70.56, intensity 11, (2 1 3)